[1]
For Y8CoCu2, a cell relaxed with GGA-PBE gives the computed PXRD pattern in this record (CuKα).
Kinematic intensities with the Lorentz-polarization factor, no thermal factor.

Cell and atoms:
a = 17.2257 Å, b = 5.1213 Å, c = 6.6612 Å
α = 90.00°, β = 106.21°, γ = 90.00°
Space group C2/m (No. 12)
Unique sites:
1 Y 0.0329 0.0000 0.2936 x4
2 Y 0.0889 0.5000 0.9355 x4
3 Y 0.1639 0.5000 0.4749 x4
4 Y 0.2003 0.0000 0.8239 x4
5 Co 0.0000 0.5000 0.5000 x2
6 Cu 0.1866 0.0000 0.2262 x4

Main lines, in order of falling intensity (5° ≤ 2θ ≤ 70°):
d_spacing	I (rel.)	index
2.782	100.0	1 1 -2
2.561	78.4	0 2 0
2.800	61.7	5 1 -1
2.998	55.1	3 1 1
2.581	45.2	1 1 2
2.394	28.0	5 1 -2
2.700	27.2	3 1 -2
1.351	25.8	7 1 3



[2]
For Y6Co2Cu, a cell relaxed with GGA-PBE gives the computed PXRD pattern in this record (CuKα).
Kinematic intensities with the Lorentz-polarization factor, no thermal factor.

Cell and atoms:
a = 9.3234 Å, b = 9.5258 Å, c = 9.7853 Å
α = 90.00°, β = 90.00°, γ = 90.00°
Space group Immm (No. 71)
Unique sites:
1 Y 0.0000 0.1905 0.2393 x8
2 Y 0.1862 0.5000 0.1738 x8
3 Y 0.2241 0.3224 0.5000 x8
4 Co 0.0000 0.3358 0.0000 x4
5 Co 0.0000 0.5000 0.3861 x4
6 Cu 0.0000 0.0000 0.0000 x2
7 Cu 0.0000 0.0000 0.5000 x2

Main lines, in order of falling intensity (5° ≤ 2θ ≤ 70°):
d_spacing	I (rel.)	index
2.754	100.0	2 2 2
2.561	79.5	1 3 2
2.534	70.4	2 3 1
2.573	50.2	2 1 3
2.331	31.7	4 0 0
1.528	31.5	5 3 2
2.955	29.6	3 1 0
2.515	27.9	3 2 1



[3]
For Zn5CoCu, a cell relaxed with GGA-PBE gives the computed PXRD pattern in this record (CuKα).
Kinematic intensities with the Lorentz-polarization factor, no thermal factor.

Cell and atoms:
a = 7.5287 Å, b = 7.9454 Å, c = 6.7340 Å
α = 90.00°, β = 90.00°, γ = 90.00°
Space group Imma (No. 74)
Unique sites:
1 Zn 0.0000 0.2500 0.1925 x4
2 Zn 0.2022 0.2500 0.5053 x8
3 Zn 0.2500 0.0018 0.7500 x8
4 Co 0.0000 0.0000 0.5000 x4
5 Cu 0.0000 0.2500 0.8045 x4

Main lines, in order of falling intensity (5° ≤ 2θ ≤ 70°):
d_spacing	I (rel.)	index
2.122	100.0	2 2 2
1.986	26.2	0 4 0
2.024	23.0	3 2 1
1.882	14.5	4 0 0
2.151	14.5	1 0 3
1.366	9.4	4 4 0
1.683	8.6	0 0 4
5.019	8.5	1 0 1



[4]
For Zr2Co2Cu, a cell relaxed with GGA-PBE gives the computed PXRD pattern in this record (CuKα).
Kinematic intensities with the Lorentz-polarization factor, no thermal factor.

Cell and atoms:
a = 4.0158 Å, b = 5.1896 Å, c = 7.4902 Å
α = 90.00°, β = 90.00°, γ = 90.00°
Space group Immm (No. 71)
Unique sites:
1 Zr 0.0000 0.0000 0.2099 x4
2 Co 0.0000 0.2806 0.5000 x4
3 Cu 0.0000 0.5000 0.0000 x2

Main lines, in order of falling intensity (5° ≤ 2θ ≤ 70°):
d_spacing	I (rel.)	index
2.422	100.0	1 1 2
2.093	52.0	1 2 1
2.008	30.9	2 0 0
2.133	22.6	0 2 2
1.462	21.0	2 2 2
2.250	18.4	0 1 3
2.120	17.0	1 0 3
1.873	14.6	0 0 4



[5]
For Zr2Co2Cu, a cell relaxed with GGA-PBE gives the computed PXRD pattern in this record (CuKα).
Kinematic intensities with the Lorentz-polarization factor, no thermal factor.

Cell and atoms:
a = 9.0125 Å, b = 4.9513 Å, c = 7.3165 Å
α = 90.00°, β = 106.81°, γ = 90.00°
Space group C2/c (No. 15)
Unique sites:
1 Zr 0.1458 0.1541 0.1471 x8
2 Co 0.1403 0.3533 0.5090 x8
3 Cu 0.0000 0.3291 0.7500 x4

Main lines, in order of falling intensity (5° ≤ 2θ ≤ 70°):
d_spacing	I (rel.)	index
2.187	100.0	1 1 -3
2.334	67.8	0 2 1
2.400	63.1	2 0 2
1.975	55.6	2 2 1
2.553	52.7	3 1 -1
2.141	48.9	2 2 -1
2.178	43.3	3 1 1
2.320	41.3	3 1 -2



[6]
For Dy13Co2, a cell relaxed with GGA-PBE gives the computed PXRD pattern in this record (CuKα).
Kinematic intensities with the Lorentz-polarization factor, no thermal factor.

Cell and atoms:
a = 6.2916 Å, b = 8.0839 Å, c = 9.6292 Å
α = 65.19°, β = 89.38°, γ = 82.61°
Space group P-1 (No. 2)
Unique sites:
1 Dy 0.0000 0.0000 0.0000 x1
2 Dy 0.0605 0.5242 0.3124 x2
3 Dy 0.1662 0.0676 0.6138 x2
4 Dy 0.2271 0.6151 0.9311 x2
5 Dy 0.3095 0.1587 0.2276 x2
6 Dy 0.4044 0.6780 0.5531 x2
7 Dy 0.4536 0.2303 0.8515 x2
8 Co 0.1965 0.8320 0.2836 x2

Main lines, in order of falling intensity (5° ≤ 2θ ≤ 70°):
d_spacing	I (rel.)	index
2.963	100.0	0 2 3
2.557	56.5	1 3 1
2.972	33.4	2 1 1
2.590	29.0	1 0 3
1.543	23.2	1 5 4
1.819	20.0	2 3 4
1.808	19.9	-1 4 3
1.480	10.1	0 4 6



[7]
For Dy2Co7, a cell relaxed with GGA-PBE gives the computed PXRD pattern in this record (CuKα).
Kinematic intensities with the Lorentz-polarization factor, no thermal factor.

Cell and atoms:
a = 4.9559 Å, b = 4.9559 Å, c = 36.1993 Å
α = 90.00°, β = 90.00°, γ = 120.00°
Space group R-3m (No. 166, hexagonal axes)
Unique sites:
1 Dy 0.0000 0.0000 0.0514 x6
2 Dy 0.0000 0.0000 0.1480 x6
3 Co 0.0000 0.0000 0.2786 x6
4 Co 0.0000 0.0000 0.3884 x6
5 Co 0.0000 0.0000 0.5000 x3
6 Co 0.0000 0.5000 0.0000 x9
7 Co 0.9995 0.4998 0.1090 x18

Main lines, in order of falling intensity (5° ≤ 2θ ≤ 70°):
d_spacing	I (rel.)	index
2.110	100.0	1 1 9
2.478	50.5	1 1 0
2.767	45.1	1 0 10
2.142	35.2	0 2 1
2.612	33.9	0 1 11
1.348	22.2	3 0 9
2.011	14.6	0 0 18
1.480	13.6	2 1 10



[8]
For Dy2Co17, a cell relaxed with GGA-PBE gives the computed PXRD pattern in this record (CuKα).
Kinematic intensities with the Lorentz-polarization factor, no thermal factor.

Cell and atoms:
a = 8.2957 Å, b = 8.2957 Å, c = 12.0885 Å
α = 90.00°, β = 90.00°, γ = 120.00°
Space group R-3m (No. 166, hexagonal axes)
Unique sites:
1 Dy 0.0000 0.0000 0.1558 x6
2 Co 0.0000 0.0000 0.4034 x6
3 Co 0.0000 0.2888 0.5000 x18
4 Co 0.0000 0.5000 0.0000 x9
5 Co 0.0025 0.5012 0.3471 x18

Main lines, in order of falling intensity (5° ≤ 2θ ≤ 70°):
d_spacing	I (rel.)	index
2.059	100.0	3 0 3
2.074	65.3	2 2 0
2.395	41.7	3 0 0
2.890	40.5	1 1 3
2.313	33.5	0 2 4
2.015	31.0	0 0 6
1.446	26.7	2 2 6
1.844	19.6	2 2 3



[9]
For Dy3Co2, a cell relaxed with GGA-PBE gives the computed PXRD pattern in this record (CuKα).
Kinematic intensities with the Lorentz-polarization factor, no thermal factor.

Cell and atoms:
a = 3.9106 Å, b = 14.5606 Å, c = 3.8967 Å
α = 90.00°, β = 90.00°, γ = 90.00°
Space group Cmmm (No. 65)
Unique sites:
1 Dy 0.0000 0.0000 0.0000 x2
2 Dy 0.0000 0.3491 0.5000 x4
3 Co 0.0000 0.2018 0.0000 x4

Main lines, in order of falling intensity (5° ≤ 2θ ≤ 70°):
d_spacing	I (rel.)	index
2.712	100.0	1 1 1
2.660	67.6	0 4 1
3.045	62.2	1 3 0
2.399	28.7	1 3 1
1.575	27.5	2 4 1
2.427	25.9	0 6 0
2.003	24.1	1 5 1
1.955	23.9	2 0 0



[10]
For DyCo13, a cell relaxed with GGA-PBE gives the computed PXRD pattern in this record (CuKα).
Kinematic intensities with the Lorentz-polarization factor, no thermal factor.

Cell and atoms:
a = 11.1835 Å, b = 11.1835 Å, c = 11.1835 Å
α = 90.00°, β = 90.00°, γ = 90.00°
Space group Fm-3c (No. 226)
Unique sites:
1 Dy 0.2500 0.2500 0.2500 x8
2 Co 0.0000 0.0000 0.0000 x8
3 Co 0.0000 0.1195 0.1778 x96

Main lines, in order of falling intensity (5° ≤ 2θ ≤ 70°):
d_spacing	I (rel.)	index
2.283	100.0	4 2 2
1.890	90.6	5 3 1
2.501	60.9	4 2 0
1.768	24.7	6 2 0
1.494	18.3	6 4 2
1.356	16.9	6 4 4
1.551	16.3	6 4 0
1.864	14.8	6 0 0



[11]
For DyEr12Co5, a cell relaxed with GGA-PBE gives the computed PXRD pattern in this record (CuKα).
Kinematic intensities with the Lorentz-polarization factor, no thermal factor.

Cell and atoms:
a = 9.3587 Å, b = 9.4148 Å, c = 9.9151 Å
α = 90.00°, β = 90.00°, γ = 90.00°
Space group Immm (No. 71)
Unique sites:
1 Dy 0.0000 0.0000 0.0000 x2
2 Er 0.0000 0.1913 0.2965 x8
3 Er 0.1882 0.5000 0.3140 x8
4 Er 0.2095 0.3176 0.0000 x8
5 Co 0.0000 0.0000 0.5000 x2
6 Co 0.0000 0.3744 0.5000 x4
7 Co 0.0000 0.5000 0.1126 x4

Main lines, in order of falling intensity (5° ≤ 2θ ≤ 70°):
d_spacing	I (rel.)	index
2.758	100.0	2 2 2
2.595	59.1	2 1 3
2.551	54.8	1 3 2
2.517	50.2	3 2 1
2.961	35.7	3 1 0
3.117	32.6	1 0 3
2.992	31.9	0 3 1
1.529	30.2	5 3 2



[12]
For DyErCo, a cell relaxed with GGA-PBE gives the computed PXRD pattern in this record (CuKα).
Kinematic intensities with the Lorentz-polarization factor, no thermal factor.

Cell and atoms:
a = 12.9935 Å, b = 3.3468 Å, c = 6.6962 Å
α = 90.00°, β = 104.97°, γ = 90.00°
Space group C2/m (No. 12)
Unique sites:
1 Dy 0.1285 0.0000 0.0647 x4
2 Er 0.1279 0.0000 0.5636 x4
3 Co 0.9995 0.5000 0.2526 x4

Main lines, in order of falling intensity (5° ≤ 2θ ≤ 70°):
d_spacing	I (rel.)	index
2.614	100.0	3 1 0
2.367	60.7	1 1 -2
3.234	49.6	2 0 -2
2.008	35.5	5 1 0
3.138	29.7	4 0 0
1.410	28.9	2 2 2
1.890	28.8	3 1 2
1.674	20.9	0 2 0